# 1
Starting from a crystal structure in Alexandria, relaxed with GGA-PBE, the X-ray powder pattern of LiLaNi3 was simulated for Cu Kα.

Most intense lines, 2θ = 15–90°, low angle first:
2θ = 20.82°, rel. 12
2θ = 29.61°, rel. 14
2θ = 36.48°, rel. 100
2θ = 42.38°, rel. 52
2θ = 47.67°, rel. 6
2θ = 52.55°, rel. 6
2θ = 61.48°, rel. 33
2θ = 73.65°, rel. 35
2θ = 77.51°, rel. 11
2θ = 85.09°, rel. 3

Structure:
```
5
Lattice="4.266 0.000 0.000 0.000 4.266 0.000 0.000 0.000 4.266" Properties=species:S:1:pos:R:3 pbc="T T T"
Li 0.000 0.000 0.000
La 2.133 2.133 2.133
Ni 0.000 0.000 2.133
Ni 0.000 2.133 0.000
Ni 2.133 0.000 0.000
```


# 2
Starting from a crystal structure in Alexandria, relaxed with GGA-PBE, the X-ray powder pattern of LiLa12Ni6 was simulated for Cu Kα.

Most intense lines, 2θ = 15–90°, low angle first:
2θ = 27.49°, rel. 43
2θ = 30.17°, rel. 26
2θ = 32.65°, rel. 100
2θ = 45.05°, rel. 24
2θ = 51.97°, rel. 33
2θ = 53.59°, rel. 16
2θ = 55.18°, rel. 31
2θ = 64.18°, rel. 14
2θ = 79.22°, rel. 15
2θ = 80.53°, rel. 17

Structure:
```
19
Lattice="-5.130 5.130 5.130 5.130 -5.130 5.130 5.130 5.130 -5.130" Properties=species:S:1:pos:R:3 pbc="T T T"
Li 0.000 0.000 0.000
La 5.130 -1.930 3.228
La 3.200 1.902 0.000
La 7.060 1.902 0.000
La 3.228 5.130 -1.930
La 1.902 0.000 3.200
La 0.000 3.200 1.902
La 5.130 1.930 3.228
La 3.228 5.130 1.930
La 1.902 0.000 7.060
La -1.930 3.228 5.130
La 1.930 3.228 5.130
La 0.000 7.060 1.902
Ni 5.130 0.000 1.280
Ni 5.130 3.850 0.000
Ni 1.280 5.130 0.000
Ni 3.850 0.000 5.130
Ni 0.000 1.280 5.130
Ni 0.000 5.130 3.850
```


# 3
Starting from a crystal structure in Alexandria, relaxed with GGA-PBE, the X-ray powder pattern of LiLaNpSe3 was simulated for Cu Kα.

Most intense lines, 2θ = 15–90°, low angle first:
2θ = 20.34°, rel. 10
2θ = 21.39°, rel. 17
2θ = 24.00°, rel. 13
2θ = 30.67°, rel. 100
2θ = 37.40°, rel. 12
2θ = 39.85°, rel. 18
2θ = 40.03°, rel. 14
2θ = 42.26°, rel. 13
2θ = 44.23°, rel. 13
2θ = 54.81°, rel. 10

Structure:
```
12
Lattice="8.555 0.000 0.000 0.000 4.096 0.000 -2.086 0.000 8.731" Properties=species:S:1:pos:R:3 pbc="T T T"
Li 0.573 1.024 0.738
Li 5.896 3.072 7.993
La 0.059 1.024 6.326
La 6.410 3.072 2.405
Np 2.165 3.072 2.977
Np 4.304 1.024 5.753
Se 0.072 1.024 3.202
Se 1.864 3.072 0.009
Se 2.264 3.072 5.899
Se 4.205 1.024 2.831
Se 4.605 1.024 8.721
Se 6.397 3.072 5.529
```


# 4
Starting from a crystal structure in Alexandria, relaxed with GGA-PBE, the X-ray powder pattern of Li3LaO3 was simulated for Cu Kα.

Most intense lines, 2θ = 15–90°, low angle first:
2θ = 15.87°, rel. 66
2θ = 16.89°, rel. 17
2θ = 18.68°, rel. 76
2θ = 29.45°, rel. 56
2θ = 33.65°, rel. 100
2θ = 44.10°, rel. 59
2θ = 52.27°, rel. 31
2θ = 54.99°, rel. 17
2θ = 58.17°, rel. 16
2θ = 63.62°, rel. 15

Structure:
```
28
Lattice="6.062 0.000 0.000 -3.031 5.249 0.000 0.000 0.000 11.167" Properties=species:S:1:pos:R:3 pbc="T T T"
Li -0.772 1.927 0.661
Li -1.748 3.618 4.922
Li 0.772 1.927 4.922
Li -0.976 4.954 0.661
Li 2.054 0.295 6.244
Li 1.283 1.632 10.505
Li 1.748 3.618 0.661
Li 0.976 4.954 4.922
Li 4.007 0.295 10.505
Li 2.259 3.323 6.244
Li 4.779 1.632 6.244
Li 3.802 3.323 10.505
La 0.000 0.000 2.792
La 0.000 0.000 8.375
La 0.000 3.500 8.375
La 3.031 1.750 2.792
O -0.798 1.759 9.874
O -1.906 3.679 6.875
O 0.798 1.759 6.875
O -1.108 5.061 9.874
O 1.923 0.189 4.291
O 1.125 1.571 1.292
O 1.906 3.679 9.874
O 1.108 5.061 6.875
O 4.139 0.189 1.292
O 2.233 3.490 4.291
O 4.937 1.571 4.291
O 3.829 3.490 1.292
```